# 1
Diffraction record for Mg14CuSiO16. The powder X-ray diffraction pattern is theoretical, not measured: it uses a cell relaxed with GGA-PBE and Cu Kα (weighted mean of Kα1 and Kα2).
Peak positions follow from Bragg's law for the DFT cell and can differ from measured ones.

Structure:
Cell: 4.251 8.556 8.593 Å, 90.00 90.00 90.00°
Space group Pmmm (No. 47)
One atom of each set of equivalent atoms:
Mg (0.000, 0.000, 0.000) (multiplicity 1)
Mg (0.000, 0.244, 0.249) (multiplicity 4)
Mg (0.000, 0.500, 0.000) (multiplicity 1)
Mg (0.500, 0.000, 0.252) (multiplicity 2)
Mg (0.500, 0.243, 0.500) (multiplicity 2)
Mg (0.500, 0.247, 0.000) (multiplicity 2)
Mg (0.500, 0.500, 0.249) (multiplicity 2)
Cu (0.000, 0.000, 0.500) (multiplicity 1)
Si (0.000, 0.500, 0.500) (multiplicity 1)
O (0.000, 0.000, 0.234) (multiplicity 2)
O (0.000, 0.256, 0.000) (multiplicity 2)
O (0.000, 0.289, 0.500) (multiplicity 2)
O (0.000, 0.500, 0.260) (multiplicity 2)
O (0.500, 0.000, 0.000) (multiplicity 1)
O (0.500, 0.000, 0.500) (multiplicity 1)
O (0.500, 0.251, 0.252) (multiplicity 4)
O (0.500, 0.500, 0.000) (multiplicity 1)
O (0.500, 0.500, 0.500) (multiplicity 1)

Largest 8 diffraction maxima, sorted by position, 5° ≤ 2θ ≤ 70°:
d_spacing, Rel. int., (hkl)
8.580, 20, 0 0 1
2.468, 48, 1 2 2
2.148, 100, 0 0 4
2.139, 95, 0 4 0
2.126, 98, 2 0 0
1.516, 54, 0 4 4
1.511, 56, 2 0 4
1.508, 53, 2 4 0

=====

# 2
Diffraction record for PrCdIn. The powder X-ray diffraction pattern is theoretical, not measured: it uses a cell relaxed with GGA-PBE and Cu Kα (weighted mean of Kα1 and Kα2).
Peak positions follow from Bragg's law for the DFT cell and can differ from measured ones.

Structure:
Cell: 4.9657 4.9657 7.8232 Å, 90.00 90.00 120.00°
Space group P-3m1 (No. 164)
One atom of each set of equivalent atoms:
Pr (0.0000, 0.0000, 0.2381) (multiplicity 2)
Cd (0.3333, 0.6667, 0.9734) (multiplicity 2)
In (0.3333, 0.6667, 0.5514) (multiplicity 2)

Largest 8 diffraction maxima, sorted by position, 5° ≤ 2θ ≤ 70°:
d_spacing, Rel. int., (hkl)
3.769, 8, 1 0 1
2.894, 100, 1 0 2
2.483, 77, 1 1 0
2.230, 16, 0 1 3
1.884, 28, 0 2 2
1.536, 16, 1 1 4
1.501, 27, 2 1 2
1.433, 13, 3 0 0

=====

# 3
Diffraction record for KLaNb4O12. The powder X-ray diffraction pattern is theoretical, not measured: it uses a cell relaxed with GGA-PBE and Cu Kα (weighted mean of Kα1 and Kα2).
Peak positions follow from Bragg's law for the DFT cell and can differ from measured ones.

Structure:
Cell: 7.983 7.923 8.157 Å, 90.00 90.00 90.00°
Space group Amm2 (No. 38)
One atom of each set of equivalent atoms:
K (0.000, 0.000, 0.000) (multiplicity 2)
La (0.500, 0.000, 0.491) (multiplicity 2)
Nb (0.248, 0.247, 0.741) (multiplicity 8)
O (0.000, 0.230, 0.254) (multiplicity 4)
O (0.237, 0.000, 0.774) (multiplicity 4)
O (0.264, 0.226, 0.509) (multiplicity 8)
O (0.286, 0.000, 0.257) (multiplicity 4)
O (0.500, 0.223, 0.756) (multiplicity 4)

Largest 8 diffraction maxima, sorted by position, 5° ≤ 2θ ≤ 70°:
d_spacing, Rel. int., (hkl)
4.630, 91, 1 1 1
4.078, 40, 0 0 2
2.853, 98, 2 0 2
2.842, 100, 0 2 2
2.812, 97, 2 2 0
2.039, 41, 0 0 4
1.651, 41, 2 2 4
1.633, 41, 4 2 2

=====

# 4
Diffraction record for ZrAs2O9. The powder X-ray diffraction pattern is theoretical, not measured: it uses a cell relaxed with GGA-PBE and Cu Kα (weighted mean of Kα1 and Kα2).
Peak positions follow from Bragg's law for the DFT cell and can differ from measured ones.

Structure:
Cell: 9.444 5.559 17.040 Å, 90.00 111.53 90.00°
Space group P2_1/c (No. 14)
One atom of each set of equivalent atoms:
Zr (0.236, 0.222, 0.015) (multiplicity 4)
As (0.041, 0.725, 0.887) (multiplicity 4)
As (0.483, 0.732, 0.095) (multiplicity 4)
O (0.010, 0.725, 0.785) (multiplicity 4)
O (0.085, 0.056, 0.435) (multiplicity 4)
O (0.113, 0.173, 0.088) (multiplicity 4)
O (0.192, 0.592, 0.449) (multiplicity 4)
O (0.288, 0.515, 0.761) (multiplicity 4)
O (0.362, 0.177, 0.274) (multiplicity 4)
O (0.362, 0.517, 0.099) (multiplicity 4)
O (0.387, 0.167, 0.447) (multiplicity 4)
O (0.440, 0.020, 0.105) (multiplicity 4)

Largest 8 diffraction maxima, sorted by position, 5° ≤ 2θ ≤ 70°:
d_spacing, Rel. int., (hkl)
7.925, 88, 0 0 2
4.698, 21, 1 1 0
4.442, 19, 1 1 -2
3.732, 100, 1 1 2
3.693, 53, 2 0 -4
2.775, 41, 0 2 0
2.739, 25, 3 1 -2
2.521, 20, 2 0 4

=====

# 5
Diffraction record for CsRbMg6O7. The powder X-ray diffraction pattern is theoretical, not measured: it uses a cell relaxed with GGA-PBE and Cu Kα (weighted mean of Kα1 and Kα2).
Peak positions follow from Bragg's law for the DFT cell and can differ from measured ones.

Structure:
Cell: 4.444 4.444 11.733 Å, 90.00 90.00 90.00°
Space group P4mm (No. 99)
One atom of each set of equivalent atoms:
Cs (0.000, 0.000, 0.000) (multiplicity 1)
Rb (0.500, 0.500, 0.112) (multiplicity 1)
Mg (0.000, 0.000, 0.592) (multiplicity 1)
Mg (0.000, 0.500, 0.411) (multiplicity 2)
Mg (0.000, 0.500, 0.788) (multiplicity 2)
Mg (0.500, 0.500, 0.604) (multiplicity 1)
O (0.000, 0.000, 0.401) (multiplicity 1)
O (0.000, 0.000, 0.764) (multiplicity 1)
O (0.000, 0.500, 0.580) (multiplicity 2)
O (0.000, 0.500, 0.971) (multiplicity 2)
O (0.500, 0.500, 0.769) (multiplicity 1)

Largest 8 diffraction maxima, sorted by position, 5° ≤ 2θ ≤ 70°:
d_spacing, Rel. int., (hkl)
11.733, 100, 0 0 1
5.867, 45, 0 0 2
3.543, 49, 1 0 2
3.036, 39, 1 1 1
2.936, 41, 1 0 3
2.770, 37, 1 1 2
2.448, 36, 1 0 4
2.222, 60, 2 0 0